Theoretical powder XRD pattern
Compound: USnTe
Radiation: Cu Kα
Structure: a DFT-relaxed cell (GGA-PBE, the Materials Project)
Neutral-atom scattering factors, no anomalous dispersion.

Principal peaks in the range 2θ = 5–70°, sorted by position:
h k l  d/Å  2θ (°)  Rel. int.
1 0 1  3.869  22.99  39
0 0 3  3.010  29.68  42
1 1 1  2.870  31.16  72
1 1 2  2.514  35.71  100
1 0 3  2.462  36.49  49
2 0 0  2.141  42.22  58

Cell: 4.2814 4.2814 9.0300 Å, 90.00 90.00 90.00°
Space group P4/nmm (No. 129, origin choice 2)
Symmetry-distinct sites (fractional):
U1 0.2500 0.2500 0.2180 [2 per cell]
Sn1 0.2500 0.7500 0.5000 [2 per cell]
Te1 0.2500 0.2500 0.8627 [2 per cell]

Theoretical powder XRD pattern
Compound: LaSi2Rh2
Radiation: Cu Kα
Structure: a DFT-relaxed cell (GGA-PBE, the Materials Project)
Neutral-atom scattering factors, no anomalous dispersion.

Principal peaks in the range 2θ = 5–70°, sorted by position:
h k l  d/Å  2θ (°)  Rel. int.
1 0 1  3.848  23.11  22
1 0 3  2.652  33.79  30
0 0 4  2.588  34.65  18
1 1 2  2.551  35.18  100
2 0 0  2.073  43.67  37
1 1 6  1.487  62.45  19

Cell: 4.1453 4.1453 10.3538 Å, 90.00 90.00 90.00°
Space group I4/mmm (No. 139)
Symmetry-distinct sites (fractional):
La1 0.0000 0.0000 0.0000 [2 per cell]
Si1 0.0000 0.0000 0.3725 [4 per cell]
Rh1 0.0000 0.5000 0.2500 [4 per cell]